Tl2BHPb: simulated powder X-ray diffraction pattern (λ = 1.5418 Å (Cu Kα)), based on a structure optimized by DFT (PBE).
Lines closer than 0.1° are merged.

Cell and atoms:
```
Tl2BHPb
1.0
5.7313 0.0000 0.0000
0.0000 5.7313 0.0000
0.0000 0.0000 3.3762
Tl B H Pb
2 1 1 1
direct
0.0000 0.5000 0.0000
0.5000 0.0000 0.0000
0.0000 0.0000 0.0000
0.0000 0.0000 0.5000
0.5000 0.5000 0.5000
```

The 8 most intense peaks (2θ from 10° to 80°), sorted by position:
2θ (°), Rel. int.
15.46, 350
21.93, 147
30.74, 171
31.21, 690
34.58, 1000
44.72, 260
57.73, 473
64.01, 182